Structure and computed X-ray diffraction stick pattern of PmNd2In2 (DFT lattice parameters and positions (PBE); copper Kα).
Peak positions follow from Bragg's law for the DFT cell and can differ from measured ones.

Principal peaks in the range 2θ from 15° to 90°, by angle:
| 2θ/deg | Rel. int. |
| --- | --- |
| 31.61 | 100 |
| 34.34 | 18 |
| 35.71 | 19 |
| 39.75 | 14 |
| 50.38 | 12 |
| 53.52 | 10 |
| 54.50 | 11 |
| 59.80 | 12 |
| 61.61 | 15 |
| 66.02 | 11 |
| 67.10 | 11 |
| 89.25 | 5 |

a b c (Å): 4.5347 5.0284 13.2512
angles (deg): 90.00 99.81 90.00
Positions (direct):
Pm  0.1432  0.2500  0.2868
Pm  0.8568  0.7500  0.7132
Nd  0.0488  0.7500  0.0982
Nd  0.2381  0.7500  0.4780
Nd  0.7619  0.2500  0.5220
Nd  0.9512  0.2500  0.9018
In  0.3518  0.2500  0.7020
In  0.4529  0.7500  0.9063
In  0.5471  0.2500  0.0937
In  0.6482  0.7500  0.2980